For Sm2Au3, a structure optimized by DFT (PBE) gives the computed PXRD pattern in this record (Cu Kα (λ = 1.5418 Å)).
No peak broadening, texture or thermal motion is included.

Cell and atoms:
a = 8.817 Å, b = 8.817 Å, c = 8.817 Å
α = 109.47°, β = 109.47°, γ = 109.47°
Positions (direct):
Sm 0.000 0.422 0.500
Sm 0.000 0.922 0.500
Sm 0.078 0.078 0.078
Sm 0.422 0.500 0.000
Sm 0.500 0.000 0.422
Sm 0.500 0.000 0.922
Sm 0.578 0.578 0.578
Sm 0.922 0.500 0.000
Au 0.012 0.262 0.750
Au 0.238 0.250 0.488
Au 0.250 0.488 0.238
Au 0.250 0.762 0.512
Au 0.262 0.750 0.012
Au 0.488 0.238 0.250
Au 0.512 0.250 0.762
Au 0.738 0.988 0.750
Au 0.750 0.012 0.262
Au 0.750 0.738 0.988
Au 0.762 0.512 0.250
Au 0.988 0.750 0.738

Most intense lines, 2θ from 5° to 70°, by angle:
two_theta	intensity
21.38	354
27.71	99
32.92	1000
35.26	792
41.61	493
50.72	452
55.65	137
61.80	107
63.28	144
67.62	287

=====

For SmSnAu4, a structure optimized by DFT (PBE) gives the computed PXRD pattern in this record (Cu Kα (λ = 1.5418 Å)).
No peak broadening, texture or thermal motion is included.

Cell and atoms:
a = 6.586 Å, b = 6.586 Å, c = 6.699 Å
α = 102.14°, β = 102.14°, γ = 75.02°
Positions (direct):
Sm 0.156 0.156 0.253
Sm 0.844 0.844 0.747
Sn 0.396 0.396 0.689
Sn 0.604 0.604 0.311
Au 0.146 0.146 0.780
Au 0.197 0.560 0.068
Au 0.234 0.766 0.500
Au 0.440 0.803 0.932
Au 0.560 0.197 0.068
Au 0.766 0.234 0.500
Au 0.803 0.440 0.932
Au 0.854 0.854 0.220

Most intense lines, 2θ from 5° to 70°, by angle:
two_theta	intensity
19.26	265
28.45	181
29.53	227
34.67	324
34.89	363
35.69	1000
36.83	324
38.39	344
41.50	211
43.24	442

=====

For SmSn2Au6, a structure optimized by DFT (PBE) gives the computed PXRD pattern in this record (Cu Kα (λ = 1.5418 Å)).
No peak broadening, texture or thermal motion is included.

Cell and atoms:
a = 8.176 Å, b = 8.176 Å, c = 8.176 Å
α = 154.54°, β = 120.78°, γ = 65.51°
Positions (direct):
Sm 0.000 0.000 0.000
Sn 0.356 0.856 0.500
Sn 0.644 0.144 0.500
Au 0.005 0.677 0.328
Au 0.323 0.500 0.823
Au 0.349 0.677 0.672
Au 0.651 0.323 0.328
Au 0.677 0.500 0.177
Au 0.995 0.323 0.672

Most intense lines, 2θ from 5° to 70°, by angle:
two_theta	intensity
25.56	249
30.11	581
33.97	623
37.84	348
38.78	1000
39.31	400
41.30	267
43.99	248
50.67	235
65.58	412

=====

For TbSm3Au7, a structure optimized by DFT (PBE) gives the computed PXRD pattern in this record (Cu Kα (λ = 1.5418 Å)).
No peak broadening, texture or thermal motion is included.

Cell and atoms:
a = 11.274 Å, b = 11.274 Å, c = 12.845 Å
α = 90.00°, β = 90.00°, γ = 160.76°
Positions (direct):
Tb 0.001 0.999 0.750
Tb 0.999 0.001 0.250
Sm 0.142 0.858 0.056
Sm 0.142 0.858 0.444
Sm 0.186 0.814 0.750
Sm 0.814 0.186 0.250
Sm 0.858 0.142 0.556
Sm 0.858 0.142 0.944
Au 0.278 0.722 0.071
Au 0.278 0.722 0.429
Au 0.378 0.622 0.750
Au 0.405 0.595 0.135
Au 0.405 0.595 0.365
Au 0.463 0.537 0.581
Au 0.463 0.537 0.919
Au 0.537 0.463 0.081
Au 0.537 0.463 0.419
Au 0.595 0.405 0.635
Au 0.595 0.405 0.865
Au 0.622 0.378 0.250
Au 0.722 0.278 0.571
Au 0.722 0.278 0.929

Most intense lines, 2θ from 5° to 70°, by angle:
two_theta	intensity
23.96	327
31.90	1000
34.18	688
37.02	771
37.70	402
38.62	705
42.82	444
48.32	401
63.51	397
66.73	330

=====

For Tb3SmAu, a structure optimized by DFT (PBE) gives the computed PXRD pattern in this record (Cu Kα (λ = 1.5418 Å)).
No peak broadening, texture or thermal motion is included.

Cell and atoms:
a = 6.596 Å, b = 5.352 Å, c = 8.404 Å
α = 90.00°, β = 100.68°, γ = 90.00°
Positions (direct):
Tb 0.143 0.250 0.495
Tb 0.224 0.750 0.225
Tb 0.301 0.250 0.940
Tb 0.699 0.750 0.060
Tb 0.776 0.250 0.775
Tb 0.857 0.750 0.505
Sm 0.404 0.750 0.671
Sm 0.596 0.250 0.329
Au 0.043 0.750 0.851
Au 0.957 0.250 0.149

Most intense lines, 2θ from 5° to 70°, by angle:
two_theta	intensity
13.66	65
32.41	1000
32.91	213
33.49	274
45.31	88
47.66	154
57.50	77
58.45	102
59.19	181
67.87	68

=====

For Tb5SmAu6, a structure optimized by DFT (PBE) gives the computed PXRD pattern in this record (Cu Kα (λ = 1.5418 Å)).
No peak broadening, texture or thermal motion is included.

Cell and atoms:
a = 5.144 Å, b = 7.198 Å, c = 8.143 Å
α = 90.00°, β = 108.26°, γ = 90.00°
Positions (direct):
Tb 0.000 0.000 0.000
Tb 0.333 0.000 0.668
Tb 0.333 0.500 0.666
Tb 0.667 0.000 0.332
Tb 0.667 0.500 0.334
Sm 0.000 0.500 0.000
Au 0.170 0.248 0.338
Au 0.170 0.752 0.338
Au 0.500 0.244 0.000
Au 0.500 0.756 0.000
Au 0.830 0.248 0.662
Au 0.830 0.752 0.662

Most intense lines, 2θ from 5° to 70°, by angle:
two_theta	intensity
24.44	16
34.84	508
35.06	1000
43.20	8
50.03	92
50.17	91
50.73	88
62.56	188
62.66	188
63.02	184

=====

For Sm4TcAu, a structure optimized by DFT (PBE) gives the computed PXRD pattern in this record (Cu Kα (λ = 1.5418 Å)).
No peak broadening, texture or thermal motion is included.

Cell and atoms:
a = 8.010 Å, b = 8.010 Å, c = 6.439 Å
α = 106.66°, β = 106.66°, γ = 110.24°
Positions (direct):
Sm 0.058 0.711 0.916
Sm 0.221 0.361 0.696
Sm 0.289 0.942 0.584
Sm 0.361 0.221 0.196
Sm 0.639 0.779 0.804
Sm 0.711 0.058 0.416
Sm 0.779 0.639 0.304
Sm 0.942 0.289 0.084
Tc 0.003 0.997 0.250
Tc 0.997 0.003 0.750
Au 0.370 0.630 0.250
Au 0.630 0.370 0.750

Most intense lines, 2θ from 5° to 70°, by angle:
two_theta	intensity
28.96	584
30.06	1000
31.61	745
33.91	399
34.94	806
35.86	282
36.00	384
36.43	912
39.05	372
39.84	405